Theoretical X-ray diffraction stick pattern
Compound: Y2ErTm4Mg
Radiation: a wavelength of 1.5418 Å
Structure: DFT lattice parameters and positions (PBE)

The 8 most intense peaks (10 to 90 degrees two-theta), sorted by position:
hkl  2theta  I (rel.)
1 1 2  31.42  100
0 0 4  36.05  17
2 0 0  36.64  33
2 0 4  52.34  24
1 1 6  61.94  14
1 3 2  62.68  14
3 1 2  62.78  14
2 2 4  65.58  12

Structure:
```
data_Y2ErTm4Mg
_symmetry_space_group_name_H-M 'P m m m'
_symmetry_Int_Tables_number 47
_symmetry_space_group_name_Hall '-P 2 2'
_cell_length_a 4.9005
_cell_length_b 4.9108
_cell_length_c 9.9659
_cell_angle_alpha 90.00
_cell_angle_beta 90.00
_cell_angle_gamma 90.00
loop_
_atom_site_label
_atom_site_type_symbol
_atom_site_fract_x
_atom_site_fract_y
_atom_site_fract_z
_atom_site_occupancy
Y1 Y 0.0000 0.0000 0.0000 1
Y2 Y 0.5000 0.5000 0.5000 1
Er1 Er 0.0000 0.0000 0.5000 1
Tm1 Tm 0.0000 0.5000 0.2499 1
Tm2 Tm 0.5000 0.0000 0.2498 1
Mg1 Mg 0.5000 0.5000 0.0000 1
```